For Ba8HAu5, a crystal structure in Alexandria, relaxed with GGA-PBE gives the theoretical powder diffraction line list in this record (a wavelength of 1.5418 Å).

The 10 most intense peaks (2θ = 10–90°), low angle first:
| d (Å) | Rel. int. | h k l |
| --- | --- | --- |
| 4.118 | 14.3 | 2 1 1 |
| 3.260 | 42.6 | 1 0 3 |
| 3.178 | 100.0 | 1 3 0 |
| 2.734 | 41.1 | 1 2 3 |
| 2.705 | 15.2 | 3 1 2 |
| 2.689 | 23.6 | 3 2 1 |
| 2.166 | 17.0 | 2 3 3 |
| 2.005 | 15.0 | 3 1 4 |
| 1.989 | 14.0 | 1 4 3 |
| 1.630 | 17.3 | 1 6 1 |

Structure:
```
data_Ba8HAu5
_chemical_formula_sum 'Ba16 H2 Au10'
_symmetry_space_group_name_H-M 'I -4'
_symmetry_Int_Tables_number 82
_cell_length_a 10.0392
_cell_length_b 10.0392
_cell_length_c 10.3403
_cell_angle_alpha 90.00
_cell_angle_beta 90.00
_cell_angle_gamma 90.00
loop_
_symmetry_equiv_pos_as_xyz
'x,y,z'
'y,-x,-z'
'-x,-y,z'
'-y,x,-z'
'x+1/2,y+1/2,z+1/2'
'y+1/2,-x+1/2,-z+1/2'
'-x+1/2,-y+1/2,z+1/2'
'-y+1/2,x+1/2,-z+1/2'
loop_
_atom_site_label
_atom_site_fract_x
_atom_site_fract_y
_atom_site_fract_z
Ba1 0.0549 0.2020 0.3059
Ba2 0.0682 0.3079 0.9229
H1 0.0000 0.5000 0.2500
Au1 0.0000 0.0000 0.0000
Au2 0.1252 0.2505 0.6162
```